Calculated PXRD pattern
Compound: LiReHg3O4
Radiation: Cu Ka
Structure: a cell relaxed with PBE
No peak broadening, texture or thermal motion is included.

Top 10 peaks for 2θ from 15° to 90°, sorted by position:
d [Å]  I (rel.)
4.069  52
3.524  100
3.152  69
2.492  86
2.349  40
2.125  34
2.034  32
1.709  23
1.576  44
1.439  31

Structural model:
Cell: 7.0476 7.0476 7.0476 Å, 90.00 90.00 90.00°
Space group P-43m (No. 215)
Asymmetric unit:
Li 0.0000 0.0000 0.0000 [1 per cell]
Re 0.5000 0.5000 0.5000 [1 per cell]
Hg 0.0000 0.5000 0.5000 [3 per cell]
O 0.3554 0.3554 0.3554 [4 per cell]